Diffraction record for InCo2Pd. The X-ray diffraction stick pattern is theoretical, not measured: it uses a PBE-relaxed structure and a wavelength of 1.5418 Å.
Peak positions follow from Bragg's law for the DFT cell and can differ from measured ones.

Top 7 peaks for 2θ = 10–90°, in order of rising 2θ:
| two_theta | I_rel | (hkl) |
| --- | --- | --- |
| 25.14 | 11 | 1 1 1 |
| 41.63 | 100 | 2 2 0 |
| 49.25 | 5 | 3 1 1 |
| 60.34 | 16 | 4 0 0 |
| 66.41 | 2 | 3 3 1 |
| 75.98 | 31 | 4 2 2 |
| 81.52 | 2 | 5 1 1 |

```
data_InCo2Pd
_cell_length_a 6.1358
_cell_length_b 6.1358
_cell_length_c 6.1358
_cell_angle_alpha 90.00
_cell_angle_beta 90.00
_cell_angle_gamma 90.00
_space_group_name_H-M_alt 'F -4 3 m'
_space_group_IT_number 216
_space_group_name_Hall 'F -4 2 3'
loop_
_atom_site_label
_atom_site_fract_x
_atom_site_fract_y
_atom_site_fract_z
_atom_site_occupancy
In1 0.0000 0.0000 0.0000 1
Co1 0.0000 0.0000 0.5000 1
Co2 0.2500 0.2500 0.7500 1
Pd1 0.2500 0.2500 0.2500 1
```


Diffraction record for PrInCoTe3. The X-ray diffraction stick pattern is theoretical, not measured: it uses a PBE-relaxed structure and a wavelength of 1.5418 Å.
Peak positions follow from Bragg's law for the DFT cell and can differ from measured ones.

Top 10 peaks for 2θ = 10–90°, in order of rising 2θ:
| two_theta | I_rel | (hkl) |
| --- | --- | --- |
| 25.79 | 63 | 0 2 3 |
| 27.56 | 51 | 1 3 0 |
| 28.63 | 100 | 1 3 1 |
| 31.65 | 58 | 1 3 2 |
| 32.02 | 39 | 1 1 3 |
| 38.17 | 33 | 1 1 4 |
| 38.55 | 34 | 0 6 2 |
| 38.93 | 30 | 0 4 4 |
| 39.64 | 36 | 1 5 2 |
| 43.22 | 35 | 2 0 0 |

```
data_PrInCoTe3
_cell_length_a 4.1861
_cell_length_b 15.3058
_cell_length_c 11.6164
_cell_angle_alpha 90.00
_cell_angle_beta 90.00
_cell_angle_gamma 90.00
_space_group_name_H-M_alt 'C m c m'
_space_group_IT_number 63
_space_group_name_Hall '-C 2c 2'
loop_
_atom_site_label
_atom_site_fract_x
_atom_site_fract_y
_atom_site_fract_z
_atom_site_occupancy
Pr1 0.0000 0.0000 0.0000 1
In1 0.0000 0.2493 0.2500 1
Co1 0.0000 0.4738 0.7500 1
Te1 0.0000 0.0773 0.7500 1
Te2 0.0000 0.3596 0.5860 1
```


Diffraction record for TbY2In3Co3. The X-ray diffraction stick pattern is theoretical, not measured: it uses a PBE-relaxed structure and a wavelength of 1.5418 Å.
Peak positions follow from Bragg's law for the DFT cell and can differ from measured ones.

Top 10 peaks for 2θ = 10–90°, in order of rising 2θ:
| two_theta | I_rel | (hkl) |
| --- | --- | --- |
| 33.72 | 100 | 1 0 2 |
| 36.64 | 72 | 1 4 0 |
| 37.32 | 42 | 0 1 3 |
| 37.42 | 15 | 0 5 1 |
| 42.54 | 15 | 0 3 3 |
| 44.37 | 15 | 1 4 2 |
| 47.26 | 22 | 2 0 0 |
| 61.73 | 25 | 2 1 3 |
| 65.49 | 13 | 2 6 0 |
| 68.79 | 16 | 1 8 2 |

```
data_TbY2In3Co3
_cell_length_a 3.8463
_cell_length_b 12.7130
_cell_length_c 7.3692
_cell_angle_alpha 90.00
_cell_angle_beta 90.00
_cell_angle_gamma 90.00
_space_group_name_H-M_alt 'A m m 2'
_space_group_IT_number 38
loop_
_space_group_symop_operation_xyz
'x,y,z'
'-x,-y,z'
'-x,y,z'
'x,-y,z'
'x,y+1/2,z+1/2'
'-x,-y+1/2,z+1/2'
'-x,y+1/2,z+1/2'
'x,-y+1/2,z+1/2'
loop_
_atom_site_label
_atom_site_fract_x
_atom_site_fract_y
_atom_site_fract_z
_atom_site_occupancy
Tb1 0.0000 0.0000 0.0000 1
Y1 0.0000 0.2043 0.6141 1
In1 0.5000 0.0000 0.6627 1
In2 0.5000 0.1275 0.2830 1
Co1 0.0000 0.0000 0.4088 1
Co2 0.5000 0.1654 0.9104 1
```


Diffraction record for In2CoTc. The X-ray diffraction stick pattern is theoretical, not measured: it uses a PBE-relaxed structure and a wavelength of 1.5418 Å.
Peak positions follow from Bragg's law for the DFT cell and can differ from measured ones.

Top 10 peaks for 2θ = 10–90°, in order of rising 2θ:
| two_theta | I_rel | (hkl) |
| --- | --- | --- |
| 23.88 | 5 | 1 1 1 |
| 27.65 | 1 | 2 0 0 |
| 39.50 | 100 | 2 2 0 |
| 46.68 | 3 | 3 1 1 |
| 57.09 | 16 | 4 0 0 |
| 62.76 | 1 | 3 3 1 |
| 71.64 | 32 | 4 2 2 |
| 76.74 | 1 | 5 1 1 |
| 85.03 | 10 | 4 4 0 |
| 89.94 | 1 | 5 3 1 |

```
data_In2CoTc
_cell_length_a 6.4533
_cell_length_b 6.4533
_cell_length_c 6.4533
_cell_angle_alpha 90.00
_cell_angle_beta 90.00
_cell_angle_gamma 90.00
_space_group_name_H-M_alt 'F -4 3 m'
_space_group_IT_number 216
_space_group_name_Hall 'F -4 2 3'
loop_
_atom_site_label
_atom_site_fract_x
_atom_site_fract_y
_atom_site_fract_z
_atom_site_occupancy
In1 0.0000 0.0000 0.0000 1
In2 0.2500 0.2500 0.2500 1
Co1 0.2500 0.2500 0.7500 1
Tc1 0.0000 0.0000 0.5000 1
```


Diffraction record for Y8In3Co. The X-ray diffraction stick pattern is theoretical, not measured: it uses a PBE-relaxed structure and a wavelength of 1.5418 Å.
Peak positions follow from Bragg's law for the DFT cell and can differ from measured ones.

Top 10 peaks for 2θ = 10–90°, in order of rising 2θ:
| two_theta | I_rel | (hkl) |
| --- | --- | --- |
| 29.16 | 27 | 2 1 1 |
| 30.70 | 19 | 1 1 2 |
| 32.31 | 96 | 2 0 2 |
| 32.45 | 14 | 3 0 1 |
| 34.52 | 100 | 2 2 0 |
| 43.30 | 16 | 2 2 2 |
| 48.00 | 19 | 4 0 2 |
| 60.46 | 12 | 4 2 2 |
| 61.86 | 11 | 6 0 0 |
| 63.92 | 17 | 2 2 4 |

```
data_Y8In3Co
_cell_length_a 10.3921
_cell_length_b 10.3921
_cell_length_c 7.0344
_cell_angle_alpha 90.00
_cell_angle_beta 90.00
_cell_angle_gamma 120.00
_space_group_name_H-M_alt 'P 63 m c'
_space_group_IT_number 186
_space_group_name_Hall 'P 6c -2c'
loop_
_atom_site_label
_atom_site_fract_x
_atom_site_fract_y
_atom_site_fract_z
_atom_site_occupancy
Y1 0.0000 0.0000 0.0000 1
Y2 0.0706 0.5353 0.4868 1
Y3 0.1776 0.3553 0.7800 1
Y4 0.3333 0.6667 0.0960 1
In1 0.1631 0.3262 0.2402 1
Co1 0.3333 0.6667 0.7104 1
```


Diffraction record for ZnIn5Co2. The X-ray diffraction stick pattern is theoretical, not measured: it uses a PBE-relaxed structure and a wavelength of 1.5418 Å.
Peak positions follow from Bragg's law for the DFT cell and can differ from measured ones.

Top 10 peaks for 2θ = 10–90°, in order of rising 2θ:
| two_theta | I_rel | (hkl) |
| --- | --- | --- |
| 29.55 | 41 | 2 1 0 |
| 31.50 | 35 | 1 1 2 |
| 36.81 | 36 | 2 0 2 |
| 39.24 | 100 | 2 1 2 |
| 42.29 | 52 | 1 3 0 |
| 51.78 | 16 | 0 0 4 |
| 60.76 | 19 | 4 0 2 |
| 62.46 | 15 | 4 1 2 |
| 69.00 | 22 | 1 3 4 |
| 81.37 | 17 | 2 5 2 |

```
data_ZnIn5Co2
_cell_length_a 6.7587
_cell_length_b 6.7587
_cell_length_c 7.0618
_cell_angle_alpha 90.00
_cell_angle_beta 90.00
_cell_angle_gamma 90.00
_space_group_name_H-M_alt 'P 42/m'
_space_group_IT_number 84
loop_
_space_group_symop_operation_xyz
'x,y,z'
'-x,-y,-z'
'-y,x,z+1/2'
'y,-x,-z+1/2'
'-x,-y,z'
'x,y,-z'
'y,-x,z+1/2'
'-y,x,-z+1/2'
loop_
_atom_site_label
_atom_site_fract_x
_atom_site_fract_y
_atom_site_fract_z
_atom_site_occupancy
Zn1 0.0000 0.0000 0.0000 1
In1 0.1475 0.3273 0.2401 1
In2 0.5000 0.5000 0.0000 1
Co1 0.1492 0.6510 0.0000 1
```